No. 1
Na6MgAl4Si13O36: theoretical powder XRD pattern (copper Kα), based on a crystal structure in the Materials Project, relaxed with PBE.
Intensities are scaled so that the largest is 100.

Top 10 peaks for 15° ≤ 2θ ≤ 90°, in order of rising 2θ:
4.330 Å, rel. 19; 2.960 Å, rel. 100; 2.873 Å, rel. 27; 2.860 Å, rel. 43; 2.517 Å, rel. 57; 2.438 Å, rel. 34; 2.180 Å, rel. 25; 1.989 Å, rel. 20; 1.592 Å, rel. 20; 1.374 Å, rel. 19

Crystal structure
Unit cell a=14.331 b=14.331 c=5.296 alpha=93.45 beta=93.45 gamma=35.17
Fractional positions:
Na: 0.000 0.000 0.000
Na: 0.271 0.063 0.835
Na: 0.339 0.330 0.669
Na: 0.600 0.400 0.500
Na: 0.670 0.661 0.331
Na: 0.937 0.729 0.165
Mg: 0.398 0.602 0.000
Al: 0.066 0.268 0.333
Al: 0.542 0.125 0.166
Al: 0.732 0.934 0.667
Al: 0.875 0.458 0.834
Si: 0.110 0.696 0.779
Si: 0.161 0.367 0.047
Si: 0.207 0.793 0.500
Si: 0.297 0.511 0.292
Si: 0.304 0.890 0.221
Si: 0.447 0.026 0.452
Si: 0.489 0.703 0.708
Si: 0.633 0.839 0.953
Si: 0.642 0.217 0.877
Si: 0.783 0.358 0.123
Si: 0.830 0.033 0.381
Si: 0.967 0.170 0.619
Si: 0.974 0.553 0.548
O: 0.012 0.247 0.638
O: 0.024 0.891 0.358
O: 0.080 0.489 0.811
O: 0.084 0.323 0.027
O: 0.094 0.474 0.310
O: 0.109 0.976 0.642
O: 0.161 0.082 0.194
O: 0.172 0.588 0.522
O: 0.177 0.751 0.776
O: 0.192 0.580 0.025
O: 0.249 0.823 0.224
O: 0.254 0.172 0.471
O: 0.329 0.599 0.335
O: 0.354 0.223 0.029
O: 0.401 0.671 0.665
O: 0.412 0.828 0.478
O: 0.420 0.808 0.975
O: 0.443 0.317 0.302
O: 0.493 0.407 0.851
O: 0.511 0.920 0.189
O: 0.526 0.068 0.469
O: 0.526 0.906 0.690
O: 0.593 0.507 0.149
O: 0.602 0.136 0.861
O: 0.677 0.916 0.973
O: 0.683 0.557 0.698
O: 0.749 0.153 0.142
O: 0.753 0.988 0.362
O: 0.768 0.134 0.646
O: 0.777 0.646 0.971
O: 0.828 0.746 0.529
O: 0.847 0.251 0.858
O: 0.864 0.398 0.139
O: 0.866 0.232 0.354
O: 0.918 0.839 0.806
O: 0.932 0.474 0.531

---

No. 2
NaMgAl3Si3O16: theoretical powder XRD pattern (copper Kα), based on a crystal structure in the Materials Project, relaxed with PBE.
Intensities are scaled so that the largest is 100.

Top 10 peaks for 15° ≤ 2θ ≤ 90°, in order of rising 2θ:
3.777 Å, rel. 18; 3.724 Å, rel. 19; 3.686 Å, rel. 100; 3.667 Å, rel. 16; 2.880 Å, rel. 13; 2.869 Å, rel. 16; 2.665 Å, rel. 26; 2.633 Å, rel. 35; 2.599 Å, rel. 37; 1.771 Å, rel. 12

Crystal structure
Unit cell a=9.157 b=9.157 c=8.964 alpha=90.51 beta=90.51 gamma=88.33
Fractional positions:
Na: 0.247 0.753 0.500
Na: 0.753 0.247 0.000
Mg: 0.304 0.806 0.019
Mg: 0.806 0.304 0.519
Al: 0.030 0.796 0.802
Al: 0.056 0.291 0.798
Al: 0.291 0.056 0.298
Al: 0.541 0.549 0.544
Al: 0.549 0.541 0.044
Al: 0.796 0.030 0.302
Si: 0.044 0.047 0.050
Si: 0.047 0.044 0.550
Si: 0.293 0.541 0.798
Si: 0.541 0.293 0.298
Si: 0.546 0.792 0.291
Si: 0.792 0.546 0.791
O: 0.001 0.907 0.649
O: 0.002 0.604 0.441
O: 0.083 0.494 0.443
O: 0.098 0.186 0.642
O: 0.101 0.897 0.956
O: 0.179 0.989 0.438
O: 0.186 0.098 0.142
O: 0.188 0.686 0.754
O: 0.192 0.409 0.848
O: 0.224 0.730 0.220
O: 0.355 0.859 0.801
O: 0.388 0.603 0.944
O: 0.393 0.507 0.655
O: 0.401 0.897 0.228
O: 0.409 0.192 0.348
O: 0.484 0.692 0.425
O: 0.494 0.083 0.943
O: 0.507 0.393 0.155
O: 0.590 0.696 0.146
O: 0.603 0.388 0.444
O: 0.604 0.002 0.941
O: 0.674 0.896 0.347
O: 0.686 0.188 0.254
O: 0.692 0.484 0.925
O: 0.696 0.590 0.646
O: 0.730 0.224 0.720
O: 0.859 0.355 0.301
O: 0.896 0.674 0.847
O: 0.897 0.101 0.456
O: 0.897 0.401 0.728
O: 0.907 0.001 0.149
O: 0.989 0.179 0.938

---

No. 3
MgAlNi2: theoretical powder XRD pattern (copper Kα), based on a crystal structure in the Materials Project, relaxed with PBE.
Intensities are scaled so that the largest is 100.

Top 6 peaks for 15° ≤ 2θ ≤ 90°, in order of rising 2θ:
2.949 Å, rel. 25; 2.085 Å, rel. 100; 1.703 Å, rel. 6; 1.474 Å, rel. 15; 1.319 Å, rel. 7; 1.204 Å, rel. 30

Crystal structure
Unit cell a=4.170 b=4.170 c=4.170 alpha=60.00 beta=60.00 gamma=60.00
Fractional positions:
Mg: 0.000 0.000 0.000
Al: 0.500 0.500 0.500
Ni: 0.250 0.250 0.250
Ni: 0.750 0.750 0.750

---

No. 4
Mg16Al12O: theoretical powder XRD pattern (copper Kα), based on a crystal structure in the Materials Project, relaxed with PBE.
Intensities are scaled so that the largest is 100.

Top 10 peaks for 15° ≤ 2θ ≤ 90°, in order of rising 2θ:
2.637 Å, rel. 67; 2.523 Å, rel. 56; 2.482 Å, rel. 79; 2.458 Å, rel. 100; 2.450 Å, rel. 20; 2.313 Å, rel. 52; 2.240 Å, rel. 85; 2.222 Å, rel. 24; 2.080 Å, rel. 39; 1.471 Å, rel. 37

Crystal structure
Unit cell a=9.050 b=9.050 c=9.050 alpha=108.65 beta=108.65 gamma=108.65
Fractional positions:
Mg: 0.000 0.000 0.000
Mg: 0.197 0.525 0.788
Mg: 0.197 0.788 0.525
Mg: 0.201 0.201 0.530
Mg: 0.201 0.530 0.201
Mg: 0.485 0.896 0.896
Mg: 0.525 0.197 0.788
Mg: 0.525 0.788 0.197
Mg: 0.530 0.201 0.201
Mg: 0.658 0.658 0.890
Mg: 0.658 0.890 0.658
Mg: 0.788 0.197 0.525
Mg: 0.788 0.525 0.197
Mg: 0.890 0.658 0.658
Mg: 0.896 0.485 0.896
Mg: 0.896 0.896 0.485
Al: 0.030 0.221 0.835
Al: 0.030 0.835 0.221
Al: 0.221 0.030 0.835
Al: 0.221 0.835 0.030
Al: 0.356 0.548 0.548
Al: 0.398 0.398 0.997
Al: 0.398 0.997 0.398
Al: 0.548 0.356 0.548
Al: 0.548 0.548 0.356
Al: 0.835 0.030 0.221
Al: 0.835 0.221 0.030
Al: 0.997 0.398 0.398
O: 0.789 0.789 0.789

---

No. 5
MgAl10O16: theoretical powder XRD pattern (copper Kα), based on a crystal structure in the Materials Project, relaxed with PBE.
Intensities are scaled so that the largest is 100.

Top 10 peaks for 15° ≤ 2θ ≤ 90°, in order of rising 2θ:
4.564 Å, rel. 38; 2.816 Å, rel. 50; 2.437 Å, rel. 73; 2.423 Å, rel. 78; 2.396 Å, rel. 38; 2.006 Å, rel. 100; 1.545 Å, rel. 30; 1.535 Å, rel. 25; 1.430 Å, rel. 79; 1.408 Å, rel. 66

Crystal structure
Unit cell a=9.706 b=9.706 c=9.706 alpha=34.27 beta=34.27 gamma=34.27
Fractional positions:
Mg: 0.000 0.000 0.000
Al: 0.050 0.050 0.567
Al: 0.050 0.567 0.050
Al: 0.061 0.564 0.564
Al: 0.118 0.118 0.118
Al: 0.312 0.312 0.312
Al: 0.500 0.500 0.500
Al: 0.564 0.061 0.564
Al: 0.564 0.564 0.061
Al: 0.567 0.050 0.050
Al: 0.621 0.621 0.621
O: 0.187 0.187 0.187
O: 0.192 0.689 0.689
O: 0.209 0.209 0.647
O: 0.209 0.647 0.209
O: 0.422 0.422 0.959
O: 0.422 0.959 0.422
O: 0.432 0.928 0.928
O: 0.435 0.435 0.435
O: 0.647 0.209 0.209
O: 0.687 0.687 0.687
O: 0.689 0.192 0.689
O: 0.689 0.689 0.192
O: 0.927 0.927 0.927
O: 0.928 0.432 0.928
O: 0.928 0.928 0.432
O: 0.959 0.422 0.422